No. 1
Simulated powder X-ray diffraction pattern of Tb4CoSe2Cl for a wavelength of 1.5418 Å, from a PBE-relaxed structure.
Kinematic intensities with the Lorentz-polarization factor, no thermal factor.

The 12 most intense peaks (15° ≤ 2θ ≤ 90°), by angle:
hkl, d_spacing, I/Imax
0 0 2, 3.402, 24
1 1 -1, 3.236, 25
2 0 -2, 2.892, 53
1 1 1, 2.861, 100
2 0 2, 2.103, 17
1 1 -3, 2.034, 71
0 2 0, 1.952, 18
0 0 4, 1.703, 9
4 0 0, 1.698, 8
2 2 -2, 1.618, 18
2 2 2, 1.431, 10
1 3 -3, 1.143, 8

Cell and atoms:
a = 7.1420 Å, b = 3.9045 Å, c = 7.1618 Å
α = 90.00°, β = 107.97°, γ = 90.00°
Fractional coordinates of all 8 atoms:
Tb 0.2155 0.0000 0.2188
Tb 0.2308 0.5000 0.7581
Tb 0.7692 0.5000 0.2419
Tb 0.7845 0.0000 0.7812
Co 0.0000 0.5000 0.0000
Se 0.0000 0.0000 0.5000
Se 0.5000 0.5000 0.5000
Cl 0.5000 0.0000 0.0000

***

No. 2
Simulated powder X-ray diffraction pattern of KNbSO2 for a wavelength of 1.5418 Å, from a PBE-relaxed structure.
Kinematic intensities with the Lorentz-polarization factor, no thermal factor.

The 12 most intense peaks (15° ≤ 2θ ≤ 90°), by angle:
hkl, d_spacing, I/Imax
1 0 0, 3.881, 41
1 0 1, 3.317, 100
0 0 2, 3.193, 22
1 1 0, 2.744, 38
1 0 2, 2.466, 31
1 1 2, 2.081, 14
2 0 0, 1.941, 28
1 0 3, 1.866, 20
1 1 3, 1.682, 17
2 1 1, 1.675, 25
2 1 2, 1.525, 13
2 1 3, 1.345, 13

Cell and atoms:
a = 3.8813 Å, b = 3.8813 Å, c = 6.3852 Å
α = 90.00°, β = 90.00°, γ = 90.00°
Fractional coordinates of all 5 atoms:
K 0.0000 0.0000 0.0000
Nb 0.5000 0.5000 0.4008
S 0.5000 0.5000 0.7524
O 0.0000 0.5000 0.3200
O 0.5000 0.0000 0.3200